(1)
Starting from a GGA+U-relaxed structure, the powder diffraction line list of Rb2RuW3O12 was computed for Cu Kα (weighted mean of Kα1 and Kα2).
Peak positions follow from Bragg's law for the DFT cell and can differ from measured ones.

The 10 most intense peaks (10° ≤ 2θ ≤ 80°), sorted by position:
d (Å)	2theta	I/Imax
6.030	14.69	36
5.967	14.85	28
3.147	28.36	100
3.125	28.56	21
3.015	29.63	52
2.984	29.95	20
2.010	45.11	17
1.849	49.29	24
1.834	49.71	23
1.572	58.75	18

Cell and atoms:
```
Rb2RuW3O12
1.0
3.6976 2.1348 5.9670
-3.6976 2.1348 5.9670
0.0000 -4.2696 5.9670
Rb Ru W O
2 1 3 12
direct
0.1325 0.1325 0.1325 Rb
0.8675 0.8675 0.8675 Rb
0.5000 0.5000 0.5000 Ru
0.0000 0.5000 0.5000 W
0.5000 0.0000 0.5000 W
0.5000 0.5000 0.0000 W
0.1832 0.5620 0.5620 O
0.1866 0.1866 0.5591 O
0.1866 0.5591 0.1866 O
0.4380 0.4380 0.8168 O
0.4380 0.8168 0.4380 O
0.4409 0.8134 0.8134 O
0.5591 0.1866 0.1866 O
0.5620 0.1832 0.5620 O
0.5620 0.5620 0.1832 O
0.8134 0.4409 0.8134 O
0.8134 0.8134 0.4409 O
0.8168 0.4380 0.4380 O
```


(2)
Starting from a GGA+U-relaxed structure, the powder diffraction line list of Sr4MgMn2Ga2O11 was computed for Cu Kα (weighted mean of Kα1 and Kα2).
Peak positions follow from Bragg's law for the DFT cell and can differ from measured ones.

The 10 most intense peaks (10° ≤ 2θ ≤ 80°), sorted by position:
d (Å)	2theta	I/Imax
3.070	29.09	55
3.011	29.67	100
2.960	30.19	75
2.926	30.55	75
2.696	33.23	62
2.688	33.33	62
2.415	37.22	30
1.956	46.43	38
1.856	49.08	49
1.795	50.87	24

Cell and atoms:
```
Sr4MgMn2Ga2O11
1.0
6.0584 0.0000 0.0000
-1.5800 5.9208 0.0000
-2.1021 -3.0377 7.8224
Sr Mg Mn Ga O
4 1 2 2 11
direct
0.0000 0.0000 0.0000 Sr
0.1527 0.2823 0.4746 Sr
0.5060 0.5181 0.0227 Sr
0.8229 0.7017 0.5382 Sr
0.4699 0.9708 0.4940 Mg
0.4274 0.8594 0.7730 Mn
0.8677 0.3788 0.7617 Mn
0.1128 0.6204 0.2215 Ga
0.6033 0.1267 0.2246 Ga
0.0592 0.4386 0.9955 O
0.1373 0.6000 0.7362 O
0.2400 0.9924 0.6228 O
0.2801 0.9606 0.2619 O
0.3800 0.6027 0.3755 O
0.4285 0.0935 0.0038 O
0.6424 0.6327 0.8012 O
0.7136 0.0412 0.7329 O
0.7197 0.2640 0.5092 O
0.7936 0.9372 0.2197 O
0.8424 0.4603 0.2674 O
```